Cu2TcHg: simulated X-ray powder pattern (Cu Kα, 1.54184 Å), based on a cell relaxed with PBE.

Structural model:
Lattice parameters (Å, degrees): 6.256 6.256 6.256 90.00 90.00 90.00
Space group F-43m (No. 216)
One atom of each set of equivalent atoms:
Cu 0.000 0.000 0.000 x4
Cu 0.250 0.250 0.250 x4
Tc 0.000 0.000 0.500 x4
Hg 0.250 0.250 0.750 x4

Most intense lines, 5° ≤ 2θ ≤ 70°, sorted by position:
(1 1 1), 24.65 deg, I 22.7; (2 0 0), 28.53 deg, I 6.5; (2 2 0), 40.79 deg, I 100.0; (3 1 1), 48.24 deg, I 12.2; (2 2 2), 50.54 deg, I 2.0; (4 0 0), 59.06 deg, I 16.5; (3 3 1), 64.97 deg, I 5.3; (4 2 0), 66.88 deg, I 2.7

---

CuHgW2: simulated X-ray powder pattern (Cu Kα, 1.54184 Å), based on a cell relaxed with PBE.

Structural model:
Lattice parameters (Å, degrees): 6.403 6.403 6.403 90.00 90.00 90.00
Space group F-43m (No. 216)
One atom of each set of equivalent atoms:
Cu 0.000 0.000 0.000 x4
Hg 0.250 0.250 0.750 x4
W 0.000 0.000 0.500 x4
W 0.250 0.250 0.250 x4

Most intense lines, 5° ≤ 2θ ≤ 70°, sorted by position:
(1 1 1), 24.08 deg, I 7.7; (2 0 0), 27.87 deg, I 5.4; (2 2 0), 39.82 deg, I 100.0; (3 1 1), 47.08 deg, I 4.1; (2 2 2), 49.30 deg, I 1.6; (4 0 0), 57.58 deg, I 17.1; (3 3 1), 63.32 deg, I 1.8; (4 2 0), 65.16 deg, I 2.2

---

Zr4CuHg: simulated X-ray powder pattern (Cu Kα, 1.54184 Å), based on a cell relaxed with PBE.

Structural model:
Lattice parameters (Å, degrees): 3.196 3.196 12.265 90.00 90.00 90.00
Space group P4/mmm (No. 123)
One atom of each set of equivalent atoms:
Zr 0.000 0.000 0.141 x2
Zr 0.500 0.500 0.321 x2
Cu 0.500 0.500 0.000 x1
Hg 0.000 0.000 0.500 x1

Most intense lines, 5° ≤ 2θ ≤ 70°, sorted by position:
(0 0 1), 7.21 deg, I 19.0; (1 0 2), 31.57 deg, I 15.8; (1 0 3), 35.66 deg, I 100.0; (1 1 0), 39.89 deg, I 39.6; (0 0 6), 44.31 deg, I 10.6; (1 1 5), 55.27 deg, I 8.0; (2 0 0), 57.69 deg, I 13.2; (1 1 6), 61.13 deg, I 15.9; (1 0 8), 67.80 deg, I 7.3; (2 1 3), 69.70 deg, I 27.2